(1)
Structure and theoretical powder diffraction line list of LaPm2Tl9 (a structure optimized by DFT (PBE); a wavelength of 1.5418 Å).
No peak broadening, texture or thermal motion is included.

Crystal structure
Cell lengths 4.844, 4.844, 14.518 Å; angles 90.00, 90.00, 90.00 degrees
Space group P4/mmm (No. 123)
One atom of each set of equivalent atoms:
La1 0.000 0.000 0.000
Pm1 0.000 0.000 0.336
Tl1 0.000 0.500 0.170
Tl2 0.000 0.500 0.500
Tl3 0.500 0.500 0.000
Tl4 0.500 0.500 0.334

Largest 11 diffraction maxima, in order of rising 2θ, 2θ = 10–90°:
two_theta  I/Imax  hkl
18.32  1.5  1 0 0
26.02  1.4  1 0 3
32.01  100.0  1 1 3
37.13  50.6  2 0 0
41.71  0.9  1 0 6
45.90  0.7  2 1 3
53.52  35.8  2 2 0
63.74  42.4  3 1 3
66.93  12.2  2 2 6
79.10  5.8  4 0 0
87.88  18.3  3 3 3



(2)
Structure and theoretical powder diffraction line list of Cs3AuCl2 (a structure optimized by DFT (PBE); a wavelength of 1.5418 Å).
No peak broadening, texture or thermal motion is included.

Crystal structure
Cell lengths 7.638, 20.682, 7.638 Å; angles 90.00, 90.00, 90.00 degrees
Space group Fmm2 (No. 42)
One atom of each set of equivalent atoms:
Cs1 0.000 0.000 0.000
Cs2 0.000 0.170 0.501
Au1 0.000 0.000 0.500
Cl1 0.000 0.167 0.001

Largest 12 diffraction maxima, in order of rising 2θ, 2θ = 10–90°:
two_theta  I/Imax  hkl
16.97  21.3  1 1 1
23.29  100.0  2 0 0
25.85  38.3  0 6 0
33.18  40.1  2 0 2
35.07  68.3  2 6 0
42.53  39.5  2 6 2
47.62  14.2  4 0 0
53.67  19.9  4 0 2
54.97  18.4  4 6 0
58.78  14.7  2 12 0
60.50  27.5  4 6 2
78.91  12.7  4 12 2



(3)
Structure and theoretical powder diffraction line list of AcErSb2 (a structure optimized by DFT (PBE); a wavelength of 1.5418 Å).
No peak broadening, texture or thermal motion is included.

Crystal structure
Cell lengths 4.565, 6.538, 9.152 Å; angles 90.00, 90.00, 90.00 degrees
Space group Pmmn (No. 59, origin choice 2)
One atom of each set of equivalent atoms:
Ac1 0.250 0.250 0.131
Er1 0.250 0.250 0.623
Sb1 0.250 0.750 0.143
Sb2 0.250 0.750 0.605

Largest 12 diffraction maxima, in order of rising 2θ, 2θ = 10–90°:
two_theta  I/Imax  hkl
23.75  15.5  0 1 2
27.28  52.7  0 2 0
27.60  100.0  1 0 2
39.20  79.1  1 2 2
39.43  38.0  2 0 0
48.61  41.8  2 2 0
56.99  12.4  2 0 4
63.82  18.9  1 4 2
64.34  24.9  2 2 4
70.89  13.6  2 4 0
71.29  11.3  1 2 6
71.42  13.6  3 2 2



Question: Which formula does entry 2 have?
Answer: Cs3AuCl2